Starting from a structure optimized by DFT (GGA-PBE), the X-ray powder pattern of K3Hg6Au was calculated for copper Kα.

Peak list (10 most intense, 2θ = 15–90°, in order of rising 2θ)
2θ = 20.80°, rel. 33.6; 2θ = 22.10°, rel. 11.1; 2θ = 28.07°, rel. 15.2; 2θ = 29.62°, rel. 25.3; 2θ = 31.38°, rel. 17.5; 2θ = 31.89°, rel. 100.0; 2θ = 39.83°, rel. 43.1; 2θ = 42.04°, rel. 12.7; 2θ = 42.35°, rel. 12.4; 2θ = 55.43°, rel. 21.3

Structural model:
```
K3Hg6Au
1.0
6.4475 3.7225 4.4208
-6.4475 3.7225 4.4208
0.0000 -7.4449 4.4208
K Hg Au
6 12 2
Direct
0.1851 0.7500 0.3149
0.2500 0.6851 0.8149
0.3149 0.1851 0.7500
0.6851 0.8149 0.2500
0.7500 0.3149 0.1851
0.8149 0.2500 0.6851
0.0288 0.0878 0.3446
0.0878 0.3446 0.0288
0.1554 0.4122 0.4712
0.3446 0.0288 0.0878
0.4122 0.4712 0.1554
0.4712 0.1554 0.4122
0.5288 0.8446 0.5878
0.5878 0.5288 0.8446
0.6554 0.9712 0.9122
0.8446 0.5878 0.5288
0.9122 0.6554 0.9712
0.9712 0.9122 0.6554
0.0000 0.0000 0.0000
0.5000 0.5000 0.5000
```